Entry 1:
Simulated X-ray diffraction stick pattern
Compound: SmPb6
Radiation: Cu Kα (weighted mean of Kα1 and Kα2)
Structure: a crystal structure in OQMD, relaxed with GGA-PBE
Lines closer than 0.1° are merged.

Atomic structure:
```
SmPb6
1.0
0.0000 4.8027 4.8027
4.8027 0.0000 4.8027
4.8027 4.8027 0.0000
Sm Pb
1 6
Cartesian
0.0000 0.0000 0.0000
2.4014 2.4014 0.0000
2.4014 0.0000 2.4014
4.8027 2.4014 2.4014
0.0000 2.4014 2.4014
2.4014 4.8027 2.4014
2.4014 2.4014 4.8027
```

Most intense lines, 15 to 90 degrees two-theta, low angle first:
2theta  I (rel.)
15.98  6.5
18.47  9.9
26.24  8.8
32.28  100.0
37.45  50.8
42.07  5.3
46.31  4.1
54.00  36.0
64.33  43.1
67.57  12.5
79.89  6.0
88.80  19.4


Entry 2:
Simulated X-ray diffraction stick pattern
Compound: Sm4SnPb2
Radiation: Cu Kα (weighted mean of Kα1 and Kα2)
Structure: a crystal structure in OQMD, relaxed with GGA-PBE
Lines closer than 0.1° are merged.

Atomic structure:
```
Sm4SnPb2
1.0
-4.7788 4.7788 4.7721
4.7788 -4.7788 4.7721
4.7788 4.7788 -4.7721
Sm Sn Pb
8 2 4
Cartesian
3.0431 4.1220 -2.8964
5.4355 1.7357 -0.5103
1.7357 0.6567 1.8757
1.7357 4.1220 0.5103
3.0431 0.6567 5.2824
5.4355 3.0431 2.8964
-0.6567 3.0431 4.2618
-0.6567 1.7357 7.6685
4.7788 0.0000 2.3861
0.0000 0.0000 4.7721
-1.1877 2.3894 1.1930
2.3894 3.5911 3.5791
1.1877 7.1682 1.1930
-2.3894 5.9665 3.5791
```

Most intense lines, 15 to 90 degrees two-theta, low angle first:
2theta  I (rel.)
22.81  8.0
29.57  100.0
35.15  64.3
42.31  16.5
44.48  12.4
46.57  13.6
48.60  21.6
59.66  28.9
61.38  11.3
63.07  14.1
72.73  16.3
87.90  7.5


Entry 3:
Simulated X-ray diffraction stick pattern
Compound: SrSmPb2
Radiation: Cu Kα (weighted mean of Kα1 and Kα2)
Structure: a crystal structure in OQMD, relaxed with GGA-PBE
Lines closer than 0.1° are merged.

Atomic structure:
```
SrSmPb2
1.0
4.5024 0.0000 0.0000
0.0000 2.4362 6.0546
0.0000 -2.4362 6.0546
Sr Sm Pb
1 1 2
Cartesian
0.0000 0.0000 0.0000
2.2512 0.0000 3.2312
0.0000 0.0000 8.8340
2.2512 0.0000 6.6167
```

Most intense lines, 15 to 90 degrees two-theta, low angle first:
2theta  I (rel.)
19.64  24.6
27.97  95.8
29.51  33.3
35.08  100.0
35.74  19.8
36.90  30.3
40.05  24.2
47.93  17.7
50.52  15.2
55.58  18.8
64.18  14.9
65.30  16.9


Entry 4:
Simulated X-ray diffraction stick pattern
Compound: SmTaPb
Radiation: Cu Kα (weighted mean of Kα1 and Kα2)
Structure: a crystal structure in OQMD, relaxed with GGA-PBE
Lines closer than 0.1° are merged.

Atomic structure:
```
SmTaPb
1.0
0.0000 3.4866 3.4866
3.4866 0.0000 3.4866
3.4866 3.4866 0.0000
Sm Ta Pb
1 1 1
Cartesian
0.0000 0.0000 0.0000
3.4866 3.4866 3.4866
1.7433 1.7433 1.7433
```

Most intense lines, 15 to 90 degrees two-theta, low angle first:
2theta  I (rel.)
22.08  35.0
25.55  6.9
36.44  100.0
43.02  19.3
52.49  17.8
57.62  8.3
59.26  2.5
65.59  36.8
70.12  6.3
77.42  11.6
81.70  6.4
88.73  17.2


Entry 5:
Simulated X-ray diffraction stick pattern
Compound: TbSmTe3Pb
Radiation: Cu Kα (weighted mean of Kα1 and Kα2)
Structure: a crystal structure in OQMD, relaxed with GGA-PBE
Lines closer than 0.1° are merged.

Atomic structure:
```
TbSmTe3Pb
1.0
2.2691 -7.6948 0.0000
2.2691 7.6948 0.0000
0.0000 0.0000 11.8868
Tb Sm Te Pb
2 2 6 2
Cartesian
2.2691 7.3336 8.9151
2.2691 -7.3336 2.9717
2.2691 0.0000 0.0000
2.2691 0.0000 5.9434
2.2691 5.5266 6.4814
2.2691 5.5266 11.3488
2.2691 1.5722 8.9151
2.2691 -1.5722 2.9717
2.2691 -5.5266 0.5380
2.2691 -5.5266 5.4054
2.2691 3.0338 2.9717
2.2691 -3.0338 8.9151
```

Most intense lines, 15 to 90 degrees two-theta, low angle first:
2theta  I (rel.)
27.29  29.2
30.07  29.2
30.29  100.0
30.51  11.9
39.72  24.1
41.96  12.8
42.18  8.7
46.61  11.8
50.61  15.1
53.54  9.8
59.15  10.3
66.32  12.2


Entry 6:
Simulated X-ray diffraction stick pattern
Compound: TbSmZn2Pb2
Radiation: Cu Kα (weighted mean of Kα1 and Kα2)
Structure: a crystal structure in OQMD, relaxed with GGA-PBE
Lines closer than 0.1° are merged.

Atomic structure:
```
TbSmZn2Pb2
1.0
4.6135 0.0000 0.0000
-2.3068 3.9954 0.0000
0.0000 0.0000 16.1993
Tb Sm Zn Pb
2 2 4 4
Cartesian
0.0000 0.0000 4.0498
0.0000 0.0000 12.1495
0.0000 0.0000 0.0000
0.0000 0.0000 8.0997
0.0000 2.6636 2.6773
0.0000 2.6636 5.4224
2.3068 1.3318 10.7769
2.3068 1.3318 13.5220
0.0000 2.6636 9.9172
0.0000 2.6636 14.3818
2.3068 1.3318 1.8175
2.3068 1.3318 6.2821
```

Most intense lines, 15 to 90 degrees two-theta, low angle first:
2theta  I (rel.)
22.93  10.8
27.78  42.2
31.45  100.0
39.05  71.3
45.28  29.0
48.59  9.5
50.97  26.1
60.87  17.6
61.30  10.5
66.03  24.1
70.74  12.5
75.12  12.5


Entry 7:
Simulated X-ray diffraction stick pattern
Compound: Sm5Te4Pb
Radiation: Cu Kα (weighted mean of Kα1 and Kα2)
Structure: a crystal structure in OQMD, relaxed with GGA-PBE
Lines closer than 0.1° are merged.

Atomic structure:
```
Sm5Te4Pb
1.0
-4.9940 4.9940 3.1511
4.9940 -4.9940 3.1511
4.9940 4.9940 -3.1511
Sm Te Pb
5 4 1
Cartesian
0.0000 0.0000 0.0000
5.9896 2.0342 0.0000
2.0342 3.9985 0.0000
2.9598 0.9955 3.1511
-0.9955 2.9598 3.1511
3.0065 0.9869 0.0000
4.0071 -1.9875 3.1511
0.9869 6.9815 0.0000
1.9875 4.0071 3.1511
0.0000 0.0000 3.1511
```

Most intense lines, 15 to 90 degrees two-theta, low angle first:
2theta  I (rel.)
16.63  1.5
28.28  100.0
40.42  76.8
50.06  27.7
58.44  8.7
58.59  4.3
66.17  23.8
66.30  11.9
73.47  17.6
73.57  8.8
87.32  2.9
87.45  5.8


Entry 8:
Simulated X-ray diffraction stick pattern
Compound: SmYPb4
Radiation: Cu Kα (weighted mean of Kα1 and Kα2)
Structure: a crystal structure in OQMD, relaxed with GGA-PBE
Lines closer than 0.1° are merged.

Atomic structure:
```
SmYPb4
1.0
3.3293 0.0000 0.0000
0.0000 3.1685 9.7215
0.0000 -3.1685 9.7215
Sm Y Pb
1 1 4
Cartesian
0.0000 0.0000 0.0000
0.0000 0.0000 15.8016
0.0000 0.0000 3.1698
0.0000 0.0000 6.2265
0.0000 0.0000 9.4018
0.0000 0.0000 12.5490
```

Most intense lines, 15 to 90 degrees two-theta, low angle first:
2theta  I (rel.)
26.78  100.0
27.53  85.6
28.16  88.2
38.78  70.2
39.25  74.0
39.79  65.4
48.61  74.2
63.09  18.7
63.92  19.4
70.16  25.3
71.24  18.5
72.18  23.4